Entry 1:
For RbMnAgBr5, a cell relaxed with PBE gives the simulated X-ray diffraction stick pattern in this record (Cu Ka).
Lines closer than 0.1° are merged.

Crystal structure
```
RbMnAgBr5
1.0
4.491 -6.892 0.000
4.491 6.892 0.000
-3.546 0.000 8.997
Rb Mn Ag Br
2 2 2 10
direct
0.165 0.835 0.750
0.835 0.165 0.250
0.166 0.834 0.250
0.834 0.166 0.750
0.500 0.500 0.000
0.500 0.500 0.500
0.110 0.222 0.937
0.196 0.641 0.401
0.222 0.110 0.437
0.359 0.804 0.099
0.426 0.574 0.750
0.574 0.426 0.250
0.641 0.196 0.901
0.778 0.890 0.563
0.804 0.359 0.599
0.890 0.778 0.063
```

Most intense lines, 2θ from 10° to 80°, in order of rising 2θ:
| d/Å | two_theta | I/Imax |
| --- | --- | --- |
| 4.495 | 19.75 | 58 |
| 4.178 | 21.27 | 91 |
| 4.026 | 22.08 | 36 |
| 3.767 | 23.62 | 36 |
| 3.453 | 25.80 | 100 |
| 3.218 | 27.72 | 42 |
| 3.139 | 28.44 | 53 |
| 2.732 | 32.78 | 88 |
| 2.566 | 34.97 | 41 |
| 2.383 | 37.75 | 79 |

Entry 2:
For Rb3Mn2AgBr8, a cell relaxed with PBE gives the simulated X-ray diffraction stick pattern in this record (Cu Ka).
Lines closer than 0.1° are merged.

Crystal structure
```
Rb3Mn2AgBr8
1.0
7.816 0.000 0.000
-3.908 6.768 0.000
0.000 0.000 9.797
Rb Mn Ag Br
3 2 1 8
direct
0.000 0.000 0.000
0.333 0.667 0.618
0.667 0.333 0.382
0.333 0.667 0.207
0.667 0.333 0.793
0.000 0.000 0.500
0.165 0.330 0.314
0.165 0.835 0.314
0.330 0.165 0.686
0.333 0.667 0.959
0.667 0.333 0.041
0.670 0.835 0.314
0.835 0.165 0.686
0.835 0.670 0.686
```

Most intense lines, 2θ from 10° to 80°, in order of rising 2θ:
| d/Å | two_theta | I/Imax |
| --- | --- | --- |
| 5.569 | 15.91 | 30 |
| 3.908 | 22.76 | 94 |
| 3.266 | 27.31 | 28 |
| 3.199 | 27.89 | 91 |
| 3.055 | 29.23 | 59 |
| 2.941 | 30.39 | 43 |
| 2.784 | 32.15 | 100 |
| 2.014 | 45.01 | 29 |
| 1.984 | 45.73 | 50 |
| 1.954 | 46.48 | 74 |

Entry 3:
For Mn2TlAgBr6, a cell relaxed with PBE gives the simulated X-ray diffraction stick pattern in this record (Cu Ka).
Lines closer than 0.1° are merged.

Crystal structure
```
Mn2TlAgBr6
1.0
7.180 -7.008 0.000
7.180 7.008 0.000
-2.644 0.000 7.301
Mn Tl Ag Br
4 2 2 12
direct
0.117 0.263 0.205
0.263 0.117 0.705
0.737 0.883 0.295
0.883 0.737 0.795
0.383 0.617 0.750
0.617 0.383 0.250
0.267 0.733 0.250
0.733 0.267 0.750
0.068 0.192 0.478
0.106 0.638 0.924
0.192 0.068 0.978
0.298 0.452 0.312
0.362 0.894 0.576
0.452 0.298 0.812
0.548 0.702 0.188
0.638 0.106 0.424
0.702 0.548 0.688
0.808 0.932 0.022
0.894 0.362 0.076
0.932 0.808 0.522
```

Most intense lines, 2θ from 10° to 80°, in order of rising 2θ:
| d/Å | two_theta | I/Imax |
| --- | --- | --- |
| 6.751 | 13.11 | 37 |
| 4.601 | 19.29 | 36 |
| 4.285 | 20.73 | 48 |
| 3.979 | 22.34 | 78 |
| 3.653 | 24.37 | 42 |
| 3.275 | 27.23 | 100 |
| 3.173 | 28.13 | 64 |
| 3.049 | 29.30 | 40 |
| 2.428 | 37.03 | 38 |
| 2.057 | 44.01 | 50 |

Entry 4:
For Mn2Tl3AgBr9, a cell relaxed with PBE gives the simulated X-ray diffraction stick pattern in this record (Cu Ka).
Lines closer than 0.1° are merged.

Crystal structure
```
Mn2Tl3AgBr9
1.0
7.535 0.000 0.000
-3.768 6.526 0.000
0.000 0.000 9.266
Mn Tl Ag Br
2 3 1 9
direct
0.333 0.667 0.164
0.667 0.333 0.836
0.000 0.000 0.000
0.333 0.667 0.639
0.667 0.333 0.361
0.000 0.000 0.500
0.000 0.500 0.000
0.172 0.344 0.323
0.172 0.828 0.323
0.344 0.172 0.677
0.500 0.000 0.000
0.500 0.500 0.000
0.656 0.828 0.323
0.828 0.172 0.677
0.828 0.656 0.677
```

Most intense lines, 2θ from 10° to 80°, in order of rising 2θ:
| d/Å | two_theta | I/Imax |
| --- | --- | --- |
| 3.772 | 23.58 | 67 |
| 3.089 | 28.91 | 23 |
| 3.078 | 29.01 | 76 |
| 2.668 | 33.59 | 100 |
| 2.177 | 41.49 | 23 |
| 1.889 | 48.18 | 33 |
| 1.884 | 48.31 | 37 |
| 1.687 | 54.38 | 15 |
| 1.608 | 57.31 | 31 |
| 1.539 | 60.13 | 18 |

Entry 5:
For AgMoBr4, a cell relaxed with PBE gives the simulated X-ray diffraction stick pattern in this record (Cu Ka).
Lines closer than 0.1° are merged.

Crystal structure
```
AgMoBr4
1.0
7.251 -4.219 0.000
7.251 4.219 0.000
-2.187 0.000 6.305
Ag Mo Br
2 2 8
direct
0.097 0.903 0.750
0.903 0.097 0.250
0.381 0.619 0.250
0.619 0.381 0.750
0.055 0.725 0.014
0.275 0.945 0.486
0.289 0.494 0.496
0.494 0.289 0.996
0.506 0.711 0.004
0.711 0.506 0.504
0.725 0.055 0.514
0.945 0.275 0.986
```

Most intense lines, 2θ from 10° to 80°, in order of rising 2θ:
| d/Å | two_theta | I/Imax |
| --- | --- | --- |
| 6.851 | 12.92 | 100 |
| 3.506 | 25.40 | 21 |
| 2.913 | 30.69 | 83 |
| 2.827 | 31.65 | 41 |
| 2.253 | 40.01 | 17 |
| 2.229 | 40.48 | 11 |
| 2.109 | 42.87 | 11 |
| 2.096 | 43.16 | 27 |
| 2.015 | 45.00 | 20 |
| 1.967 | 46.14 | 26 |

Entry 6:
For Ag3MoBr8, a cell relaxed with PBE gives the simulated X-ray diffraction stick pattern in this record (Cu Ka).
Lines closer than 0.1° are merged.

Crystal structure
```
Ag3MoBr8
1.0
3.824 -5.892 0.000
3.824 5.892 0.000
0.000 0.000 8.390
Ag Mo Br
3 1 8
direct
0.000 0.000 0.000
0.000 0.500 0.764
0.500 0.000 0.236
0.000 0.000 0.500
0.217 0.783 0.500
0.219 0.781 0.000
0.229 0.241 0.713
0.241 0.229 0.287
0.759 0.771 0.287
0.771 0.759 0.713
0.781 0.219 0.000
0.783 0.217 0.500
```

Most intense lines, 2θ from 10° to 80°, in order of rising 2θ:
| d/Å | two_theta | I/Imax |
| --- | --- | --- |
| 6.415 | 13.80 | 64 |
| 5.096 | 17.40 | 44 |
| 3.511 | 25.37 | 20 |
| 2.946 | 30.34 | 50 |
| 2.826 | 31.66 | 100 |
| 2.098 | 43.13 | 17 |
| 2.039 | 44.42 | 62 |
| 1.912 | 47.56 | 16 |
| 1.709 | 53.64 | 14 |
| 1.604 | 57.46 | 16 |

Entry 7:
For Ag2Br3N, a cell relaxed with PBE gives the simulated X-ray diffraction stick pattern in this record (Cu Ka).
Lines closer than 0.1° are merged.

Crystal structure
```
Ag2Br3N
1.0
7.285 0.000 0.000
1.813 7.658 0.000
3.143 2.724 6.966
Ag Br N
4 6 2
direct
0.119 0.124 0.226
0.246 0.439 0.604
0.754 0.561 0.396
0.881 0.876 0.774
0.003 0.746 0.500
0.279 0.122 0.888
0.384 0.751 0.761
0.616 0.249 0.239
0.721 0.878 0.112
0.997 0.254 0.500
0.463 0.584 0.643
0.537 0.416 0.357
```

Most intense lines, 2θ from 10° to 80°, in order of rising 2θ:
| d/Å | two_theta | I/Imax |
| --- | --- | --- |
| 6.966 | 12.71 | 43 |
| 5.742 | 15.43 | 29 |
| 4.691 | 18.92 | 43 |
| 4.267 | 20.82 | 100 |
| 4.186 | 21.22 | 49 |
| 3.542 | 25.14 | 81 |
| 3.500 | 25.45 | 70 |
| 3.342 | 26.67 | 30 |
| 2.638 | 33.98 | 45 |
| 2.589 | 34.64 | 52 |

Entry 8:
For Na2Ag4Br9, a cell relaxed with PBE gives the simulated X-ray diffraction stick pattern in this record (Cu Ka).
Lines closer than 0.1° are merged.

Crystal structure
```
Na2Ag4Br9
1.0
7.042 0.000 0.000
-3.517 6.362 0.000
-0.010 -2.729 19.668
Na Ag Br
4 8 18
direct
0.009 0.495 0.151
0.014 0.507 0.348
0.986 0.493 0.652
0.991 0.505 0.849
0.334 0.169 0.006
0.335 0.169 0.506
0.336 0.187 0.319
0.351 0.186 0.819
0.649 0.814 0.181
0.664 0.813 0.681
0.665 0.831 0.494
0.666 0.831 0.994
0.000 0.112 0.082
0.000 0.888 0.918
0.002 0.158 0.755
0.050 0.161 0.418
0.312 0.500 0.250
0.344 0.842 0.745
0.358 0.488 0.591
0.369 0.511 0.909
0.388 0.888 0.418
0.389 0.840 0.082
0.611 0.160 0.918
0.612 0.112 0.582
0.631 0.489 0.091
0.642 0.512 0.409
0.656 0.158 0.255
0.688 0.500 0.750
0.950 0.839 0.582
0.998 0.842 0.245
```

Most intense lines, 2θ from 10° to 80°, in order of rising 2θ:
| d/Å | two_theta | I/Imax |
| --- | --- | --- |
| 6.148 | 14.41 | 71 |
| 3.331 | 26.76 | 100 |
| 3.102 | 28.78 | 58 |
| 3.014 | 29.64 | 78 |
| 2.583 | 34.74 | 64 |
| 2.400 | 37.48 | 41 |
| 2.399 | 37.50 | 42 |
| 2.295 | 39.25 | 52 |
| 2.101 | 43.06 | 44 |
| 2.049 | 44.20 | 73 |

Entry 9:
For NaAgPb2Br6, a cell relaxed with PBE gives the simulated X-ray diffraction stick pattern in this record (Cu Ka).
Lines closer than 0.1° are merged.

Crystal structure
```
NaAgPb2Br6
1.0
7.569 0.000 0.000
-3.776 6.573 0.000
-3.775 -2.178 6.775
Na Ag Pb Br
1 1 2 6
direct
0.000 0.000 0.000
0.005 0.502 0.505
0.609 0.305 0.914
0.609 0.805 0.413
0.099 0.219 0.704
0.100 0.389 0.211
0.485 0.880 0.705
0.498 0.110 0.209
0.822 0.711 0.209
0.826 0.605 0.704
```

Most intense lines, 2θ from 10° to 80°, in order of rising 2θ:
| d/Å | two_theta | I/Imax |
| --- | --- | --- |
| 5.514 | 16.07 | 86 |
| 4.018 | 22.12 | 70 |
| 3.790 | 23.47 | 32 |
| 3.309 | 26.94 | 67 |
| 2.757 | 32.48 | 43 |
| 2.526 | 35.53 | 100 |
| 2.228 | 40.50 | 28 |
| 2.189 | 41.23 | 50 |
| 2.185 | 41.32 | 25 |
| 1.941 | 46.80 | 32 |

Entry 10:
For NaSrAg2Br8, a cell relaxed with PBE gives the simulated X-ray diffraction stick pattern in this record (Cu Ka).
Lines closer than 0.1° are merged.

Crystal structure
```
NaSrAg2Br8
1.0
-3.634 3.634 7.267
3.634 -3.634 7.267
3.634 3.634 -7.267
Na Sr Ag Br
1 1 2 8
direct
0.000 0.000 0.000
0.250 0.750 0.500
0.500 0.500 0.000
0.750 0.250 0.500
0.263 0.403 0.544
0.281 0.737 0.140
0.393 0.034 0.052
0.597 0.141 0.860
0.659 0.607 0.641
0.859 0.719 0.456
0.966 0.018 0.359
0.982 0.341 0.948
```

Most intense lines, 2θ from 10° to 80°, in order of rising 2θ:
| d/Å | two_theta | I/Imax |
| --- | --- | --- |
| 4.196 | 21.17 | 54 |
| 4.031 | 22.05 | 60 |
| 3.172 | 28.13 | 88 |
| 2.967 | 30.12 | 90 |
| 2.570 | 34.91 | 56 |
| 2.192 | 41.19 | 100 |
| 1.861 | 48.94 | 42 |
| 1.750 | 52.28 | 31 |
| 1.625 | 56.64 | 47 |
| 1.229 | 77.73 | 29 |

Entry 11:
For Na2SrAgBr5, a cell relaxed with PBE gives the simulated X-ray diffraction stick pattern in this record (Cu Ka).
Lines closer than 0.1° are merged.

Crystal structure
```
Na2SrAgBr5
1.0
4.417 0.000 0.000
0.000 15.400 0.000
-2.208 0.000 9.364
Na Sr Ag Br
4 2 2 10
direct
0.038 0.000 0.077
0.064 0.741 0.128
0.936 0.241 0.872
0.962 0.500 0.923
0.266 0.370 0.529
0.734 0.870 0.471
0.368 0.999 0.739
0.632 0.499 0.261
0.104 0.395 0.204
0.219 0.737 0.441
0.223 0.010 0.449
0.429 0.376 0.856
0.478 0.116 0.956
0.522 0.616 0.044
0.571 0.876 0.144
0.777 0.510 0.551
0.781 0.237 0.559
0.896 0.895 0.796
```

Most intense lines, 2θ from 10° to 80°, in order of rising 2θ:
| d/Å | two_theta | I/Imax |
| --- | --- | --- |
| 8.001 | 11.06 | 41 |
| 7.700 | 11.49 | 50 |
| 3.296 | 27.05 | 100 |
| 3.059 | 29.19 | 31 |
| 2.504 | 35.87 | 29 |
| 2.496 | 35.98 | 17 |
| 2.294 | 39.27 | 23 |
| 2.208 | 40.87 | 27 |
| 2.092 | 43.25 | 19 |
| 1.967 | 46.14 | 18 |

Entry 12:
For NaThAg2Br8, a cell relaxed with PBE gives the simulated X-ray diffraction stick pattern in this record (Cu Ka).
Lines closer than 0.1° are merged.

Crystal structure
```
NaThAg2Br8
1.0
6.815 0.000 0.000
0.000 8.287 0.000
-0.943 0.000 7.237
Na Th Ag Br
1 1 2 8
direct
0.000 0.000 0.000
0.000 0.500 0.000
0.500 0.237 0.500
0.500 0.763 0.500
0.227 0.261 0.851
0.227 0.739 0.851
0.257 0.000 0.368
0.279 0.500 0.347
0.721 0.500 0.653
0.743 0.000 0.632
0.773 0.261 0.149
0.773 0.739 0.149
```

Most intense lines, 2θ from 10° to 80°, in order of rising 2θ:
| d/Å | two_theta | I/Imax |
| --- | --- | --- |
| 5.451 | 16.26 | 48 |
| 5.292 | 16.75 | 100 |
| 4.649 | 19.09 | 79 |
| 3.377 | 26.39 | 52 |
| 3.263 | 27.34 | 67 |
| 3.093 | 28.86 | 51 |
| 2.545 | 35.26 | 91 |
| 2.387 | 37.68 | 70 |
| 2.085 | 43.40 | 76 |
| 2.072 | 43.68 | 43 |